# 1
For K2RbZnF5, a GGA-PBE-relaxed structure gives the simulated XRD peak list in this record (Cu Kα (λ = 1.5418 Å)).
No peak broadening, texture or thermal motion is included.

Most intense lines, 10 to 90 degrees two-theta, sorted by position:
| d_spacing | Position (°2θ) | I_rel |
| --- | --- | --- |
| 6.131 | 14.45 | 21 |
| 3.693 | 24.10 | 26 |
| 3.164 | 28.21 | 100 |
| 3.065 | 29.13 | 26 |
| 2.612 | 34.34 | 40 |
| 2.569 | 34.92 | 44 |
| 2.403 | 37.43 | 16 |
| 2.359 | 38.15 | 26 |
| 1.988 | 45.63 | 32 |
| 1.788 | 51.08 | 22 |
| 1.652 | 55.64 | 17 |
| 1.454 | 64.03 | 17 |

Structural model:
```
K2RbZnF5
1.0
-3.6935 3.6935 6.1310
3.6935 -3.6935 6.1310
3.6935 3.6935 -6.1310
K Rb Zn F
4 2 2 10
Direct
0.1786 0.6786 0.8571
0.3214 0.1786 0.5000
0.6786 0.8214 0.5000
0.8214 0.3214 0.1429
0.2500 0.2500 0.0000
0.7500 0.7500 0.0000
0.2500 0.7500 0.5000
0.7500 0.2500 0.5000
0.0000 0.0000 0.0000
0.0084 0.7911 0.5000
0.2089 0.7089 0.2173
0.2911 0.5084 0.5000
0.4916 0.9916 0.7827
0.5000 0.5000 0.0000
0.5084 0.0084 0.2173
0.7089 0.4916 0.5000
0.7911 0.2911 0.7827
0.9916 0.2089 0.5000
```

---

# 2
For K2ReF8, a GGA-PBE-relaxed structure gives the simulated XRD peak list in this record (Cu Kα (λ = 1.5418 Å)).
No peak broadening, texture or thermal motion is included.

Most intense lines, 10 to 90 degrees two-theta, sorted by position:
| d_spacing | Position (°2θ) | I_rel |
| --- | --- | --- |
| 5.404 | 16.40 | 56 |
| 5.155 | 17.20 | 100 |
| 4.621 | 19.21 | 63 |
| 4.456 | 19.93 | 35 |
| 3.572 | 24.92 | 15 |
| 3.441 | 25.90 | 82 |
| 3.212 | 27.77 | 32 |
| 2.989 | 29.89 | 15 |
| 2.050 | 44.17 | 14 |
| 1.999 | 45.37 | 19 |
| 1.952 | 46.52 | 17 |
| 1.691 | 54.24 | 20 |

Structural model:
```
K2ReF8
1.0
8.9113 0.0000 0.0000
0.0000 5.9778 0.0000
0.0000 0.0000 12.6410
K Re F
8 4 32
Direct
0.0483 0.2500 0.2085
0.1682 0.2500 0.5603
0.3318 0.7500 0.0603
0.4517 0.7500 0.7085
0.5483 0.2500 0.2915
0.6682 0.2500 0.9397
0.8318 0.7500 0.4397
0.9517 0.7500 0.7915
0.2192 0.2500 0.8780
0.2808 0.7500 0.3780
0.7192 0.2500 0.6220
0.7808 0.7500 0.1220
0.0071 0.2500 0.8380
0.1034 0.5504 0.3884
0.1034 0.9496 0.3884
0.1348 0.5246 0.9353
0.1348 0.9754 0.9353
0.2131 0.0496 0.7527
0.2131 0.4504 0.7527
0.2333 0.7500 0.5313
0.2667 0.2500 0.0313
0.2869 0.5496 0.2527
0.2869 0.9504 0.2527
0.3652 0.0246 0.4353
0.3652 0.4754 0.4353
0.3966 0.0504 0.8884
0.3966 0.4496 0.8884
0.4929 0.7500 0.3380
0.5071 0.2500 0.6620
0.6034 0.5504 0.1116
0.6034 0.9496 0.1116
0.6348 0.5246 0.5647
0.6348 0.9754 0.5647
0.7131 0.0496 0.7473
0.7131 0.4504 0.7473
0.7333 0.7500 0.9687
0.7667 0.2500 0.4687
0.7869 0.5496 0.2473
0.7869 0.9504 0.2473
0.8652 0.0246 0.0647
0.8652 0.4754 0.0647
0.8966 0.0504 0.6116
0.8966 0.4496 0.6116
0.9929 0.7500 0.1620
```

---

# 3
For K5Rh3F12, a GGA-PBE-relaxed structure gives the simulated XRD peak list in this record (Cu Kα (λ = 1.5418 Å)).
No peak broadening, texture or thermal motion is included.

Most intense lines, 10 to 90 degrees two-theta, sorted by position:
| d_spacing | Position (°2θ) | I_rel |
| --- | --- | --- |
| 5.259 | 16.86 | 100 |
| 3.036 | 29.42 | 57 |
| 2.921 | 30.60 | 75 |
| 2.629 | 34.10 | 9 |
| 2.459 | 36.54 | 22 |
| 2.105 | 42.96 | 42 |
| 1.757 | 52.06 | 11 |
| 1.753 | 52.18 | 15 |
| 1.730 | 52.93 | 45 |
| 1.569 | 58.88 | 11 |
| 1.520 | 60.93 | 14 |
| 1.347 | 69.82 | 12 |

Structural model:
```
K5Rh3F12
1.0
10.5180 0.0000 0.0000
-5.2590 9.1088 0.0000
0.0000 0.0000 3.5132
K Rh F
5 3 12
Direct
0.0000 0.7144 0.0000
0.2856 0.2856 0.0000
0.3333 0.6667 0.0000
0.6667 0.3333 0.0000
0.7144 0.0000 0.0000
0.0000 0.3326 0.5000
0.3326 0.0000 0.5000
0.6674 0.6674 0.5000
0.0000 0.2105 0.0000
0.0000 0.4545 0.0000
0.2105 0.0000 0.0000
0.2174 0.7765 0.5000
0.2235 0.4409 0.5000
0.4409 0.2235 0.5000
0.4545 0.0000 0.0000
0.5455 0.5455 0.0000
0.5591 0.7826 0.5000
0.7765 0.2174 0.5000
0.7826 0.5591 0.5000
0.7895 0.7895 0.0000
```